No. 1
Simulated PXRD pattern of RbHg2Br5 for a wavelength of 1.5418 Å, from the GGA-PBE geometry in Alexandria.
Peak positions follow from Bragg's law for the DFT cell and can differ from measured ones.

Structural model:
abc: 9.7018 9.7018 12.5318
angles: 90.00 90.00 141.24
Fractional positions:
Rb 0.0959 0.9041 0.7500
Rb 0.9041 0.0959 0.2500
Hg 0.2083 0.7917 0.0878
Hg 0.2083 0.7917 0.4122
Hg 0.7917 0.2083 0.5878
Hg 0.7917 0.2083 0.9122
Br 0.0700 0.9300 0.0866
Br 0.0700 0.9300 0.4134
Br 0.2806 0.7194 0.5940
Br 0.2806 0.7194 0.9060
Br 0.3093 0.6907 0.2500
Br 0.6907 0.3093 0.7500
Br 0.7194 0.2806 0.0940
Br 0.7194 0.2806 0.4060
Br 0.9300 0.0700 0.5866
Br 0.9300 0.0700 0.9134

Most intense lines, 2θ = 10–90°, by intensity:
| 2θ (°) | I/Imax |
| --- | --- |
| 23.41 | 1000 |
| 27.71 | 966 |
| 14.58 | 750 |
| 36.58 | 627 |
| 16.22 | 507 |
| 46.41 | 497 |
| 36.47 | 490 |
| 29.41 | 442 |
| 25.89 | 399 |
| 53.84 | 348 |

=====

No. 2
Simulated PXRD pattern of Nb4Ag for a wavelength of 1.5418 Å, from the GGA-PBE geometry in Alexandria.
Peak positions follow from Bragg's law for the DFT cell and can differ from measured ones.

Structural model:
abc: 4.8733 4.8733 4.8733
angles: 90.00 90.00 90.00
Fractional positions:
Nb 0.0000 0.0000 0.0000
Nb 0.0000 0.5000 0.5000
Nb 0.5000 0.0000 0.5000
Nb 0.5000 0.5000 0.0000
Ag 0.5000 0.5000 0.5000

Most intense lines, 2θ = 10–90°, by intensity:
| 2θ (°) | I/Imax |
| --- | --- |
| 36.89 | 1000 |
| 53.16 | 677 |
| 31.80 | 597 |
| 18.20 | 309 |
| 25.85 | 267 |
| 63.29 | 239 |
| 66.46 | 225 |
| 41.43 | 148 |
| 45.60 | 111 |
| 78.51 | 104 |

=====

No. 3
Simulated PXRD pattern of Ce2Pt3 for a wavelength of 1.5418 Å, from the GGA-PBE geometry in Alexandria.
Peak positions follow from Bragg's law for the DFT cell and can differ from measured ones.

Structural model:
abc: 5.5742 5.5742 5.5742
angles: 136.92 105.16 90.46
Fractional positions:
Ce 0.2264 0.2264 0.0000
Ce 0.7736 0.7736 0.0000
Pt 0.2016 0.5000 0.7016
Pt 0.5000 0.0000 0.5000
Pt 0.7984 0.5000 0.2984

Most intense lines, 2θ = 10–90°, by intensity:
| 2θ (°) | I/Imax |
| --- | --- |
| 34.31 | 1000 |
| 36.28 | 785 |
| 44.26 | 275 |
| 34.99 | 219 |
| 46.25 | 216 |
| 78.21 | 204 |
| 22.65 | 202 |
| 69.92 | 194 |
| 41.62 | 186 |
| 53.60 | 169 |

=====

No. 4
Simulated PXRD pattern of Tb2Zn16Rh for a wavelength of 1.5418 Å, from the GGA-PBE geometry in Alexandria.
Peak positions follow from Bragg's law for the DFT cell and can differ from measured ones.

Structural model:
abc: 6.7808 6.7808 6.7808
angles: 82.74 82.74 82.74
Fractional positions:
Tb 0.0000 0.0000 0.0000
Tb 0.3324 0.3324 0.3324
Zn 0.0225 0.0225 0.5178
Zn 0.0225 0.5178 0.0225
Zn 0.1664 0.6755 0.6755
Zn 0.3160 0.3160 0.8340
Zn 0.3160 0.8340 0.3160
Zn 0.3834 0.6736 0.9627
Zn 0.3834 0.9627 0.6736
Zn 0.5178 0.0225 0.0225
Zn 0.5690 0.5690 0.5690
Zn 0.6736 0.3834 0.9627
Zn 0.6736 0.9627 0.3834
Zn 0.6755 0.1664 0.6755
Zn 0.6755 0.6755 0.1664
Zn 0.8340 0.3160 0.3160
Zn 0.9627 0.3834 0.6736
Zn 0.9627 0.6736 0.3834
Rh 0.7703 0.7703 0.7703

Most intense lines, 2θ = 10–90°, by intensity:
| 2θ (°) | I/Imax |
| --- | --- |
| 40.49 | 1000 |
| 40.25 | 720 |
| 41.22 | 507 |
| 34.67 | 448 |
| 35.80 | 320 |
| 45.46 | 310 |
| 41.49 | 298 |
| 28.49 | 285 |
| 58.97 | 233 |
| 74.62 | 214 |